For LaCeAl2O6, a GGA-PBE-relaxed structure gives the theoretical powder X-ray diffraction pattern in this record (CuKα).

Cell and atoms:
Cell: 5.369 7.590 5.396 Å, 90.00 90.00 90.00°
Space group Imm2 (No. 44)
One atom of each set of equivalent atoms:
1 La 0.000 0.000 0.000 (multiplicity 2)
2 Ce 0.000 0.500 0.996 (multiplicity 2)
3 Al 0.000 0.250 0.500 (multiplicity 4)
4 O 0.000 0.000 0.504 (multiplicity 2)
5 O 0.000 0.500 0.497 (multiplicity 2)
6 O 0.250 0.248 0.250 (multiplicity 8)

Principal peaks in the range 10 to 90 degrees two-theta, by intensity:
33.3 deg, I = 100.0
23.4 deg, I = 57.1
47.8 deg, I = 29.0
41.0 deg, I = 25.9
41.2 deg, I = 25.6
59.6 deg, I = 23.4
54.0 deg, I = 21.9
70.0 deg, I = 21.2

---

For SnS, a GGA-PBE-relaxed structure gives the theoretical powder X-ray diffraction pattern in this record (CuKα).

Cell and atoms:
Cell: 5.852 5.852 5.852 Å, 90.00 90.00 90.00°
Space group Fm-3m (No. 225)
One atom of each set of equivalent atoms:
1 Sn 0.000 0.000 0.000 (multiplicity 4)
2 S 0.000 0.000 0.500 (multiplicity 4)

Principal peaks in the range 10 to 90 degrees two-theta, by intensity:
30.6 deg, I = 100.0
43.8 deg, I = 73.9
26.4 deg, I = 59.9
72.2 deg, I = 34.5
51.8 deg, I = 32.5
80.4 deg, I = 26.4
54.3 deg, I = 26.1
70.1 deg, I = 14.1

---

For GdH2, a GGA-PBE-relaxed structure gives the theoretical powder X-ray diffraction pattern in this record (CuKα).

Cell and atoms:
Cell: 5.313 5.313 5.313 Å, 90.00 90.00 90.00°
Space group Fm-3m (No. 225)
One atom of each set of equivalent atoms:
1 Gd 0.000 0.000 0.000 (multiplicity 4)
2 H 0.250 0.250 0.250 (multiplicity 8)

Principal peaks in the range 10 to 90 degrees two-theta, by intensity:
29.1 deg, I = 100.0
33.7 deg, I = 49.0
57.5 deg, I = 44.3
48.5 deg, I = 38.0
78.5 deg, I = 18.0
80.9 deg, I = 16.5
60.3 deg, I = 12.5
71.0 deg, I = 6.0

---

For Lu3TlC, a GGA-PBE-relaxed structure gives the theoretical powder X-ray diffraction pattern in this record (CuKα).

Cell and atoms:
Cell: 4.785 4.785 4.785 Å, 90.00 90.00 90.00°
Space group Pm-3m (No. 221)
One atom of each set of equivalent atoms:
1 Lu 0.000 0.000 0.500 (multiplicity 3)
2 Tl 0.500 0.500 0.500 (multiplicity 1)
3 C 0.000 0.000 0.000 (multiplicity 1)

Principal peaks in the range 10 to 90 degrees two-theta, by intensity:
32.4 deg, I = 100.0
37.6 deg, I = 53.5
64.6 deg, I = 42.5
54.2 deg, I = 37.5
89.2 deg, I = 18.7
67.9 deg, I = 12.8
80.3 deg, I = 6.1
26.3 deg, I = 0.7

---

For Cs3Cr2Br9, a GGA-PBE-relaxed structure gives the theoretical powder X-ray diffraction pattern in this record (CuKα).

Cell and atoms:
Cell: 7.7896 7.7896 19.4210 Å, 90.00 90.00 120.00°
Space group P6_3/mmc (No. 194)
One atom of each set of equivalent atoms:
1 Cs 0.0000 0.0000 0.2500 (multiplicity 2)
2 Cs 0.3333 0.6667 0.0702 (multiplicity 4)
3 Cr 0.3333 0.6667 0.6634 (multiplicity 4)
4 Br 0.0387 0.5194 0.7500 (multiplicity 6)
5 Br 0.1798 0.3596 0.5942 (multiplicity 12)

Principal peaks in the range 10 to 90 degrees two-theta, by intensity:
29.9 deg, I = 100.0
28.0 deg, I = 80.2
32.3 deg, I = 73.3
46.6 deg, I = 49.6
27.6 deg, I = 48.3
55.0 deg, I = 34.5
13.9 deg, I = 24.8
26.8 deg, I = 20.8